Record 1
Structure and computed powder XRD pattern of LaPmPrDy3 (a GGA-PBE-relaxed structure; copper Kα).
Kinematic intensities with the Lorentz-polarization factor, no thermal factor.

Atomic structure:
Cell: 20.2179 5.6736 7.0979 Å, 90.00 90.15 90.00°
Space group C2/m (No. 12)
One atom of each set of equivalent atoms:
La 0.1467 0.0000 0.0392 x4
Pm 0.1486 0.0000 0.4649 x4
Pr 0.0547 0.5000 0.2581 x4
Dy 0.0237 0.0000 0.7460 x4
Dy 0.1648 0.5000 0.7424 x4
Dy 0.2212 0.5000 0.2474 x4

Top 10 peaks for 5° ≤ 2θ ≤ 70°, by intensity:
2theta	intensity
29.91	100
32.59	78
31.54	58
34.86	30
30.78	25
55.15	21
30.03	18
44.65	18
25.09	17
56.83	16

=====

Record 2
Structure and computed powder XRD pattern of Mn6Ni23N (a GGA-PBE-relaxed structure; copper Kα).
Kinematic intensities with the Lorentz-polarization factor, no thermal factor.

Atomic structure:
Cell: 11.1592 11.1592 11.1592 Å, 90.00 90.00 90.00°
Space group Fm-3m (No. 225)
One atom of each set of equivalent atoms:
Mn 0.0000 0.0000 0.1911 x24
Ni 0.0000 0.0000 0.5000 x4
Ni 0.0000 0.2500 0.2500 x24
Ni 0.1191 0.1191 0.3809 x32
Ni 0.1695 0.1695 0.1695 x32
N 0.0000 0.0000 0.0000 x4

Top 10 peaks for 5° ≤ 2θ ≤ 70°, by intensity:
2theta	intensity
46.01	100
42.07	67
48.25	29
54.55	21
39.56	16
48.98	13
15.88	11
53.87	9
67.10	6
51.82	5

=====

Record 3
Structure and computed powder XRD pattern of PmBr5 (a GGA-PBE-relaxed structure; copper Kα).
Kinematic intensities with the Lorentz-polarization factor, no thermal factor.

Atomic structure:
Cell: 4.2698 5.7592 11.7412 Å, 90.00 98.83 90.00°
Space group Pm (No. 6)
One atom of each set of equivalent atoms:
Pm 0.0000 0.0000 0.0000 x1
Br 0.9998 0.5000 0.0002 x1
Br 0.1260 0.5000 0.5938 x1
Br 0.4288 0.0000 0.8314 x1
Br 0.5712 0.0000 0.1685 x1
Br 0.9150 0.5000 0.4007 x1

Top 10 peaks for 5° ≤ 2θ ≤ 70°, by intensity:
2theta	intensity
7.62	100
17.19	91
31.06	42
24.10	38
15.27	30
33.76	27
32.07	23
46.52	22
39.69	20
26.18	19